(1)
For MgMn4S6, a cell relaxed with PBE gives the simulated powder diffraction line list in this record (CuKα).

Principal peaks in the range 5° ≤ 2θ ≤ 70°, in order of rising 2θ:
d/Å  Rel. int.
4.529  277
3.361  128
3.065  286
2.709  542
2.104  1000
1.770  452
1.633  99
1.481  69
1.447  72
1.354  210

Structural model:
```
MgMn4S6
1.0
3.0649 1.7695 5.7887
-3.0649 1.7695 5.7887
0.0000 -3.5391 5.7887
Mg Mn S
1 4 6
direct
0.0000 0.0000 0.0000 Mg
0.1680 0.1680 0.1680 Mn
0.3382 0.3382 0.3382 Mn
0.6618 0.6618 0.6618 Mn
0.8320 0.8320 0.8320 Mn
0.0754 0.7462 0.4265 S
0.2538 0.5735 0.9246 S
0.4265 0.0754 0.7462 S
0.5735 0.9246 0.2538 S
0.7462 0.4265 0.0754 S
0.9246 0.2538 0.5735 S
```

=====

(2)
For Sr3CaTi4O12, a cell relaxed with PBE gives the simulated powder diffraction line list in this record (CuKα).

Principal peaks in the range 5° ≤ 2θ ≤ 70°, in order of rising 2θ:
d/Å  Rel. int.
2.780  486
2.774  1000
2.267  271
1.966  424
1.957  202
1.605  202
1.602  282
1.600  99
1.392  56
1.387  285

Structural model:
```
Sr3CaTi4O12
1.0
4.7978 -2.7841 0.0000
4.7978 2.7841 0.0000
-3.1718 0.0000 9.0601
Sr Ca Ti O
3 1 4 12
direct
0.0000 0.0000 0.0000 Sr
0.2505 0.2489 0.7494 Sr
0.7511 0.7495 0.2506 Sr
0.5046 0.4954 0.5000 Ca
0.1281 0.1229 0.3767 Ti
0.3765 0.3741 0.1269 Ti
0.6259 0.6235 0.8731 Ti
0.8771 0.8719 0.6233 Ti
0.0067 0.5077 0.9908 O
0.0649 0.9351 0.5000 O
0.2109 0.2902 0.2517 O
0.2367 0.7437 0.7603 O
0.2563 0.7633 0.2397 O
0.4923 0.9933 0.0092 O
0.5088 0.0310 0.4902 O
0.5351 0.4649 0.0000 O
0.7098 0.7891 0.7483 O
0.7345 0.2453 0.2650 O
0.7547 0.2655 0.7350 O
0.9690 0.4912 0.5098 O
```

=====

(3)
For EuCdAu, a cell relaxed with PBE gives the simulated powder diffraction line list in this record (CuKα).

Principal peaks in the range 5° ≤ 2θ ≤ 70°, in order of rising 2θ:
d/Å  Rel. int.
3.851  146
2.942  360
2.912  187
2.770  1000
2.495  354
2.370  339
2.279  354
2.197  272
1.582  195
1.418  130

Structural model:
```
EuCdAu
1.0
7.5683 0.0000 0.0000
0.0000 4.5587 0.0000
0.0000 0.0000 8.9457
Eu Cd Au
4 4 4
direct
0.0389 0.2500 0.1834 Eu
0.4611 0.7500 0.6834 Eu
0.5389 0.2500 0.3166 Eu
0.9611 0.7500 0.8166 Eu
0.1451 0.2500 0.5602 Cd
0.3549 0.7500 0.0602 Cd
0.6451 0.2500 0.9398 Cd
0.8549 0.7500 0.4398 Cd
0.2447 0.7500 0.3743 Au
0.2553 0.2500 0.8743 Au
0.7447 0.7500 0.1257 Au
0.7553 0.2500 0.6257 Au
```